# Pm3CoGe
Calculated powder XRD pattern, Cu Kα (weighted mean of Kα1 and Kα2). Input: a crystal structure in Alexandria, relaxed with PBE.

Crystal structure
Unit cell a=6.9478 b=5.0640 c=7.4110 alpha=90.00 beta=97.26 gamma=90.00
Space group Pm (No. 6)
Inequivalent atoms, fractional coordinates:
Pm (0.0000, 0.0000, 0.0000) [1 per cell]
Pm (0.0347, 0.5000, 0.3399) [1 per cell]
Pm (0.2963, 0.0000, 0.6235) [1 per cell]
Pm (0.4538, 0.0000, 0.1676) [1 per cell]
Pm (0.5914, 0.5000, 0.8525) [1 per cell]
Pm (0.7836, 0.0000, 0.5488) [1 per cell]
Co (0.2444, 0.5000, 0.0655) [1 per cell]
Co (0.6299, 0.0000, 0.8532) [1 per cell]
Ge (0.0726, 0.5000, 0.7588) [1 per cell]
Ge (0.5015, 0.5000, 0.3935) [1 per cell]

Top 10 peaks for 2θ from 5° to 70°, sorted by position:
hkl, 2θ (°), Rel. int.
0 1 2, 30.03, 1000
2 1 0, 31.40, 325
1 1 -2, 31.51, 232
2 1 -1, 32.50, 533
2 0 -2, 33.32, 251
1 1 2, 34.03, 214
2 1 1, 34.95, 329
0 2 0, 35.45, 666
1 0 -3, 37.36, 200
2 2 -2, 49.44, 173

=====

# Tb3AlPt3
Calculated powder XRD pattern, Cu Kα (weighted mean of Kα1 and Kα2). Input: a crystal structure in Alexandria, relaxed with PBE.

Crystal structure
Unit cell a=4.0542 b=10.5621 c=14.2363 alpha=90.00 beta=90.00 gamma=90.00
Space group Cmcm (No. 63)
Inequivalent atoms, fractional coordinates:
Tb (0.0000, 0.0174, 0.2500) [4 per cell]
Tb (0.0000, 0.2920, 0.1071) [8 per cell]
Al (0.0000, 0.0000, 0.0000) [4 per cell]
Pt (0.0000, 0.2561, 0.7500) [4 per cell]
Pt (0.0000, 0.4225, 0.5893) [8 per cell]

Top 10 peaks for 2θ from 5° to 70°, sorted by position:
hkl, 2θ (°), Rel. int.
1 1 0, 23.50, 159
1 1 2, 26.67, 328
1 1 3, 30.21, 228
1 3 0, 33.72, 158
1 1 4, 34.58, 595
0 0 6, 37.92, 317
1 3 3, 38.83, 1000
0 4 3, 39.04, 233
2 0 0, 44.71, 290
2 0 6, 60.03, 169